Starting from a GGA-PBE-relaxed structure, the XRD peak list of Sr2SnH8O8 was computed for Cu Kα.

Crystal structure
```
data_Sr2SnH8O8
_cell_length_a 6.1366
_cell_length_b 11.3004
_cell_length_c 6.1904
_cell_angle_alpha 90.00
_cell_angle_beta 113.76
_cell_angle_gamma 90.00
_space_group_name_H-M_alt 'P 1 21/c 1'
_space_group_IT_number 14
_space_group_name_Hall '-P 2ybc'
loop_
_atom_site_label
_atom_site_type_symbol
_atom_site_fract_x
_atom_site_fract_y
_atom_site_fract_z
Sr1 Sr 0.2264 0.1297 0.3901
Sn1 Sn 0.5000 0.0000 0.0000
H1 H 0.0847 0.0845 0.8139
H2 H 0.1330 0.7381 0.9467
H3 H 0.2545 0.6210 0.6722
H4 H 0.3589 0.6969 0.2738
O1 O 0.0444 0.7244 0.5283
O2 O 0.1505 0.0217 0.7495
O3 O 0.3800 0.5597 0.7541
O4 O 0.4794 0.1712 0.1241
```

Main lines, sorted by position (2θ = 10–90°):
hkl  2θ (°)  d (Å)  intensity
0 2 0  15.72  5.636  92.5
1 1 0  17.63  5.030  77.2
1 2 0  22.29  3.989  99.7
1 2 -1  23.34  3.811  63.7
1 1 1  27.64  3.228  100.0
0 3 1  28.48  3.135  95.4
1 0 -2  29.03  3.076  58.2
1 3 -1  29.35  3.043  76.3
2 1 -1  30.33  2.947  56.6
0 5 1  43.11  2.098  52.9

Starting from a GGA-PBE-relaxed structure, the XRD peak list of SrH16O10 was computed for Cu Kα.

Crystal structure
```
data_SrH16O10
_cell_length_a 6.1398
_cell_length_b 6.5072
_cell_length_c 11.4872
_cell_angle_alpha 89.02
_cell_angle_beta 88.11
_cell_angle_gamma 89.35
_space_group_name_H-M_alt 'P 1'
_space_group_IT_number 1
_space_group_name_Hall 'P 1'
loop_
_atom_site_label
_atom_site_type_symbol
_atom_site_fract_x
_atom_site_fract_y
_atom_site_fract_z
Sr1 Sr 0.0000 0.0000 0.0000
Sr2 Sr 0.0372 0.0241 0.4989
H1 H 0.0507 0.5257 0.8658
H2 H 0.0878 0.6983 0.2122
H3 H 0.1023 0.4276 0.3474
H4 H 0.1151 0.3944 0.6718
H5 H 0.1259 0.7181 0.3698
H6 H 0.2166 0.2529 0.2678
H7 H 0.2761 0.6369 0.1126
H8 H 0.2935 0.5945 0.8831
H9 H 0.3185 0.8732 0.7173
H10 H 0.3314 0.4033 0.5929
H11 H 0.3809 0.3079 0.0982
H12 H 0.3856 0.2317 0.8714
H13 H 0.4182 0.0731 0.1401
H14 H 0.4325 0.7508 0.6128
H15 H 0.4702 0.7346 0.4040
H16 H 0.4798 0.0052 0.8732
H17 H 0.4859 0.9695 0.3680
H18 H 0.5978 0.0801 0.6450
H19 H 0.6086 0.7256 0.1063
H20 H 0.6329 0.7139 0.8993
H21 H 0.6414 0.2755 0.3932
H22 H 0.6642 0.3117 0.6134
H23 H 0.7083 0.3828 0.1066
H24 H 0.7288 0.3889 0.8936
H25 H 0.7291 0.8195 0.2118
H26 H 0.7442 0.1782 0.2807
H27 H 0.7503 0.8377 0.7909
H28 H 0.7822 0.6493 0.6286
H29 H 0.7858 0.5895 0.4281
H30 H 0.8214 0.2569 0.7864
H31 H 0.9458 0.3847 0.1591
H32 H 0.9971 0.6896 0.7093
O1 O 0.1306 0.7039 0.1270
O2 O 0.1483 0.6457 0.8523
O3 O 0.1723 0.2884 0.3492
O4 O 0.1933 0.3258 0.6087
O5 O 0.3032 0.1781 0.1294
O6 O 0.3400 0.0876 0.8691
O7 O 0.3651 0.8861 0.6354
O8 O 0.3786 0.8572 0.3849
O9 O 0.5105 0.5103 0.0626
O10 O 0.5241 0.5139 0.9326
O11 O 0.5851 0.5312 0.5735
O12 O 0.6287 0.5315 0.4457
O13 O 0.6688 0.8591 0.1369
O14 O 0.6933 0.1412 0.3616
O15 O 0.6981 0.8560 0.8728
O16 O 0.7253 0.1726 0.6404
O17 O 0.8315 0.2900 0.1389
O18 O 0.8660 0.3108 0.8622
O19 O 0.8908 0.7536 0.6572
O20 O 0.9757 0.6818 0.3533
```

Main lines, sorted by position (2θ = 10–90°):
hkl  2θ (°)  d (Å)  intensity
0 1 0  13.61  6.506  78.8
1 0 0  14.43  6.136  59.1
0 0 2  15.44  5.740  100.0
1 1 0  19.78  4.488  45.9
0 1 -2  20.82  4.266  46.1
1 1 2  24.74  3.598  62.4
1 -1 2  25.21  3.533  59.3
-1 1 2  25.51  3.491  55.6
1 1 -2  25.63  3.476  46.6
0 2 2  31.38  2.851  42.9

Starting from a GGA-PBE-relaxed structure, the XRD peak list of SrH4O6 was computed for Cu Kα.

Crystal structure
```
data_SrH4O6
_cell_length_a 7.9274
_cell_length_b 9.1011
_cell_length_c 6.1166
_cell_angle_alpha 90.00
_cell_angle_beta 93.00
_cell_angle_gamma 90.00
_space_group_name_H-M_alt 'C 1 c 1'
_space_group_IT_number 9
_space_group_name_Hall 'C -2yc'
loop_
_atom_site_label
_atom_site_type_symbol
_atom_site_fract_x
_atom_site_fract_y
_atom_site_fract_z
Sr1 Sr 0.0000 0.1910 0.0000
H1 H 0.1660 0.1569 0.5020
H2 H 0.2403 0.4257 0.7039
H3 H 0.3148 0.3130 0.0250
H4 H 0.3497 0.0503 0.8406
O1 O 0.1606 0.0792 0.3760
O2 O 0.1852 0.2683 0.6869
O3 O 0.2610 0.3501 0.1716
O4 O 0.3340 0.2202 0.8331
O5 O 0.3345 0.4932 0.2287
O6 O 0.3429 0.0629 0.3417
```

Main lines, sorted by position (2θ = 10–90°):
hkl  2θ (°)  d (Å)  intensity
1 1 0  14.83  5.973  56.6
0 2 0  19.51  4.551  41.4
1 1 -1  20.38  4.357  78.0
1 1 1  21.21  4.189  100.0
2 2 -1  32.86  2.726  39.2
1 3 1  35.17  2.552  33.8
2 0 -2  36.20  2.482  39.7
3 1 -1  37.74  2.384  36.2
3 1 1  39.16  2.300  38.3
0 4 1  42.39  2.132  33.9

Starting from a GGA-PBE-relaxed structure, the XRD peak list of SrH16O10 was computed for Cu Kα.

Crystal structure
```
data_SrH16O10
_cell_length_a 6.2622
_cell_length_b 6.4738
_cell_length_c 11.3266
_cell_angle_alpha 89.36
_cell_angle_beta 89.95
_cell_angle_gamma 89.28
_space_group_name_H-M_alt 'P 1'
_space_group_IT_number 1
_space_group_name_Hall 'P 1'
loop_
_atom_site_label
_atom_site_type_symbol
_atom_site_fract_x
_atom_site_fract_y
_atom_site_fract_z
Sr1 Sr 0.0000 0.0000 0.0000
Sr2 Sr 0.0089 0.0130 0.5049
H1 H 0.0260 0.5747 0.1354
H2 H 0.0449 0.4580 0.8856
H3 H 0.0497 0.3098 0.1344
H4 H 0.1047 0.6735 0.3174
H5 H 0.1504 0.3163 0.7217
H6 H 0.2715 0.6296 0.1272
H7 H 0.2845 0.3856 0.9075
H8 H 0.2853 0.6226 0.4135
H9 H 0.2860 0.3987 0.6112
H10 H 0.3238 0.1531 0.2994
H11 H 0.3275 0.8653 0.7878
H12 H 0.3985 0.7299 0.6149
H13 H 0.4003 0.7368 0.9031
H14 H 0.4079 0.2739 0.1097
H15 H 0.4083 0.2867 0.4078
H16 H 0.4479 0.0365 0.1314
H17 H 0.4623 0.9683 0.6295
H18 H 0.5601 0.9630 0.3819
H19 H 0.5638 0.0419 0.8749
H20 H 0.6156 0.2843 0.6035
H21 H 0.6182 0.7215 0.3987
H22 H 0.6200 0.7365 0.1118
H23 H 0.6326 0.2765 0.8933
H24 H 0.6845 0.8668 0.2254
H25 H 0.7007 0.1471 0.7120
H26 H 0.7076 0.4242 0.0876
H27 H 0.7305 0.6221 0.6121
H28 H 0.7335 0.3857 0.4026
H29 H 0.7392 0.6146 0.8980
H30 H 0.8643 0.3123 0.2881
H31 H 0.8734 0.6917 0.7850
H32 H 0.9748 0.5622 0.6261
O1 O 0.1295 0.6924 0.1367
O2 O 0.1407 0.3326 0.8840
O3 O 0.1436 0.3349 0.6349
O4 O 0.1509 0.7075 0.3973
O5 O 0.3306 0.1448 0.1314
O6 O 0.3413 0.8701 0.6416
O7 O 0.3419 0.8742 0.8771
O8 O 0.3506 0.1453 0.3851
O9 O 0.5063 0.5075 0.4441
O10 O 0.5086 0.5086 0.5760
O11 O 0.5236 0.4959 0.9413
O12 O 0.5511 0.4877 0.0716
O13 O 0.6661 0.8763 0.1357
O14 O 0.6747 0.1409 0.6256
O15 O 0.6781 0.8592 0.3702
O16 O 0.6888 0.1363 0.8684
O17 O 0.8591 0.3003 0.3762
O18 O 0.8733 0.6804 0.6383
O19 O 0.8796 0.6790 0.8744
O20 O 0.8964 0.3322 0.1382
```

Main lines, sorted by position (2θ = 10–90°):
hkl  2θ (°)  d (Å)  intensity
0 1 0  13.68  6.473  49.2
1 0 0  14.14  6.262  38.7
0 0 2  15.65  5.663  100.0
1 0 -2  21.15  4.200  33.9
1 1 2  25.08  3.551  39.4
1 1 -2  25.28  3.523  81.7
1 -1 2  25.47  3.498  37.4
2 0 -2  32.68  2.740  38.3
1 0 4  34.75  2.582  33.3
3 1 0  45.46  1.995  31.7

Starting from a GGA-PBE-relaxed structure, the XRD peak list of SrH16O10 was computed for Cu Kα.

Crystal structure
```
data_SrH16O10
_cell_length_a 6.3386
_cell_length_b 6.3793
_cell_length_c 11.4095
_cell_angle_alpha 88.11
_cell_angle_beta 88.76
_cell_angle_gamma 87.84
_space_group_name_H-M_alt 'P 1'
_space_group_IT_number 1
_space_group_name_Hall 'P 1'
loop_
_atom_site_label
_atom_site_type_symbol
_atom_site_fract_x
_atom_site_fract_y
_atom_site_fract_z
Sr1 Sr 0.0000 0.0000 0.0000
Sr2 Sr 0.0267 0.0100 0.5069
H1 H 0.0339 0.5442 0.6258
H2 H 0.1343 0.3172 0.7977
H3 H 0.1823 0.7327 0.2762
H4 H 0.1998 0.2565 0.2103
H5 H 0.2332 0.6169 0.3976
H6 H 0.2725 0.6004 0.6269
H7 H 0.2767 0.3757 0.0942
H8 H 0.2986 0.3838 0.8910
H9 H 0.3116 0.9144 0.7878
H10 H 0.3738 0.2759 0.3852
H11 H 0.3775 0.7199 0.8770
H12 H 0.3847 0.7024 0.0964
H13 H 0.3949 0.2194 0.6211
H14 H 0.4267 0.9320 0.1375
H15 H 0.4315 0.0519 0.3373
H16 H 0.4750 0.9834 0.6070
H17 H 0.5405 0.6493 0.4728
H18 H 0.6030 0.2750 0.0888
H19 H 0.6424 0.3070 0.8739
H20 H 0.6493 0.0724 0.8200
H21 H 0.6692 0.8613 0.4276
H22 H 0.6900 0.7421 0.6164
H23 H 0.7092 0.1581 0.2004
H24 H 0.7146 0.6424 0.8778
H25 H 0.7163 0.7996 0.2879
H26 H 0.7221 0.3813 0.3945
H27 H 0.7241 0.6035 0.0936
H28 H 0.7342 0.3742 0.6093
H29 H 0.8446 0.2643 0.7153
H30 H 0.9405 0.4428 0.3418
H31 H 0.9446 0.6701 0.8192
H32 H 0.9549 0.5438 0.1345
O1 O 0.1183 0.6896 0.3534
O2 O 0.1264 0.6667 0.6265
O3 O 0.1493 0.3096 0.1330
O4 O 0.1563 0.3170 0.8815
O5 O 0.2944 0.8569 0.8681
O6 O 0.3095 0.1544 0.3515
O7 O 0.3135 0.8290 0.1358
O8 O 0.3456 0.0710 0.6353
O9 O 0.4864 0.5047 0.4674
O10 O 0.4938 0.4467 0.5945
O11 O 0.5022 0.4919 0.0467
O12 O 0.5126 0.4963 0.9158
O13 O 0.6509 0.9034 0.3405
O14 O 0.6653 0.1330 0.1202
O15 O 0.6759 0.8574 0.5583
O16 O 0.7394 0.1850 0.8422
O17 O 0.8234 0.7477 0.8526
O18 O 0.8521 0.6647 0.1288
O19 O 0.8546 0.3198 0.3612
O20 O 0.8819 0.3181 0.6333
```

Main lines, sorted by position (2θ = 10–90°):
hkl  2θ (°)  d (Å)  intensity
0 1 0  13.94  6.353  100.0
0 0 2  15.54  5.700  86.4
1 1 0  19.39  4.577  40.6
0 1 -2  21.21  4.188  35.6
1 1 2  24.48  3.637  39.7
-1 1 2  25.42  3.503  88.9
1 -1 2  25.64  3.475  40.5
0 2 2  31.70  2.823  35.6
0 2 -2  32.63  2.744  47.5
1 -3 0  45.54  1.992  46.8

Starting from a GGA-PBE-relaxed structure, the XRD peak list of SrH4O6 was computed for Cu Kα.

Crystal structure
```
data_SrH4O6
_cell_length_a 8.7081
_cell_length_b 5.9391
_cell_length_c 9.4078
_cell_angle_alpha 90.00
_cell_angle_beta 105.00
_cell_angle_gamma 90.00
_space_group_name_H-M_alt 'C 1 c 1'
_space_group_IT_number 9
_space_group_name_Hall 'C -2yc'
loop_
_atom_site_label
_atom_site_type_symbol
_atom_site_fract_x
_atom_site_fract_y
_atom_site_fract_z
Sr1 Sr 0.0000 0.1390 0.0000
H1 H 0.0495 0.2623 0.7133
H2 H 0.1273 0.2857 0.3659
H3 H 0.1823 0.3462 0.5336
H4 H 0.1997 0.0937 0.7773
O1 O 0.0808 0.1019 0.7433
O2 O 0.1811 0.2224 0.4621
O3 O 0.2309 0.4006 0.1243
O4 O 0.2906 0.3083 0.0174
O5 O 0.3890 0.0216 0.3082
O6 O 0.4626 0.0140 0.7008
```

Main lines, sorted by position (2θ = 10–90°):
hkl  2θ (°)  d (Å)  intensity
1 1 0  18.29  4.852  40.7
1 1 -1  19.41  4.573  100.0
0 0 2  19.54  4.544  64.6
2 0 0  21.12  4.206  47.9
1 1 1  22.02  4.037  40.0
1 1 -2  24.79  3.592  48.7
1 1 2  28.86  3.094  81.0
1 1 -3  32.42  2.761  48.7
3 1 1  39.05  2.306  47.7
2 2 1  39.88  2.261  68.7

Starting from a GGA-PBE-relaxed structure, the XRD peak list of SrH2O2 was computed for Cu Kα.

Crystal structure
```
data_SrH2O2
_cell_length_a 3.9969
_cell_length_b 6.0779
_cell_length_c 10.0721
_cell_angle_alpha 90.00
_cell_angle_beta 90.00
_cell_angle_gamma 90.00
_space_group_name_H-M_alt 'P m c 21'
_space_group_IT_number 26
_space_group_name_Hall 'P 2c -2'
loop_
_atom_site_label
_atom_site_type_symbol
_atom_site_fract_x
_atom_site_fract_y
_atom_site_fract_z
Sr1 Sr 0.0000 0.1535 0.0000
Sr2 Sr 0.5000 0.3398 0.3193
H1 H 0.0000 0.0739 0.7498
H2 H 0.0000 0.4111 0.6975
H3 H 0.5000 0.1261 0.6254
H4 H 0.5000 0.4356 0.5669
O1 O 0.0000 0.0862 0.2634
O2 O 0.0000 0.3949 0.7941
O3 O 0.5000 0.1167 0.5282
O4 O 0.5000 0.4029 0.0595
```

Main lines, sorted by position (2θ = 10–90°):
hkl  2θ (°)  d (Å)  intensity
0 1 1  17.04  5.204  56.0
0 1 2  22.93  3.878  35.4
1 1 0  26.69  3.339  33.9
1 1 1  28.15  3.170  100.0
0 1 3  30.42  2.939  44.3
0 0 4  35.66  2.518  23.7
1 2 1  38.26  2.352  45.6
2 0 0  45.38  1.998  22.9
1 2 3  46.26  1.963  54.9
1 1 5  53.09  1.725  23.2

Starting from a GGA-PBE-relaxed structure, the XRD peak list of SrH16O10 was computed for Cu Kα.

Crystal structure
```
data_SrH16O10
_cell_length_a 8.8756
_cell_length_b 9.1265
_cell_length_c 6.7939
_cell_angle_alpha 90.00
_cell_angle_beta 91.21
_cell_angle_gamma 90.00
_space_group_name_H-M_alt 'C 1 2 1'
_space_group_IT_number 5
_space_group_name_Hall 'C 2y'
loop_
_atom_site_label
_atom_site_type_symbol
_atom_site_fract_x
_atom_site_fract_y
_atom_site_fract_z
Sr1 Sr 0.0000 0.0000 0.0000
H1 H 0.0021 0.3364 0.1842
H2 H 0.0085 0.6779 0.8038
H3 H 0.0920 0.2043 0.2925
H4 H 0.0976 0.8059 0.6940
H5 H 0.1668 0.5123 0.8004
H6 H 0.1696 0.5149 0.1943
H7 H 0.1906 0.1058 0.7078
H8 H 0.2110 0.9482 0.3487
O1 O 0.0001 0.5060 0.1099
O2 O 0.0024 0.7826 0.7557
O3 O 0.0061 0.2318 0.7647
O4 O 0.2223 0.0079 0.7514
O5 O 0.2277 0.0267 0.2538
```

Main lines, sorted by position (2θ = 10–90°):
hkl  2θ (°)  d (Å)  intensity
0 0 1  13.03  6.792  100.0
1 1 0  13.92  6.362  58.5
0 2 0  19.45  4.563  45.3
2 0 0  20.01  4.437  42.4
0 2 1  23.49  3.788  43.5
2 0 -1  23.72  3.751  23.2
2 0 1  24.19  3.679  28.1
2 2 -2  38.48  2.339  46.7
2 2 2  39.09  2.304  45.0
0 4 0  39.50  2.282  24.2